This entry pairs a crystal structure of Ba2Hf2Co with its theoretical X-ray diffraction stick pattern. Radiation: CuKα. Structure: DFT lattice parameters and positions (PBE).
Neutral-atom scattering factors, no anomalous dispersion.

Cell lengths 6.7409, 6.7409, 6.1963 Å; angles 90.00, 90.00, 90.00 degrees
Space group P4/mbm (No. 127)
Symmetry-distinct sites (fractional):
Ba (0.1853, 0.3147, 0.0000)
Hf (0.1643, 0.6643, 0.5000)
Co (0.0000, 0.0000, 0.5000)

Peak list (6 most intense, 2θ from 10° to 90°, in order of rising 2θ)
| d_spacing | Position (°2θ) | I_rel |
| --- | --- | --- |
| 3.370 | 26.4 | 18 |
| 3.098 | 28.8 | 42 |
| 2.711 | 33.0 | 100 |
| 1.756 | 52.1 | 16 |
| 1.704 | 53.8 | 25 |
| 1.581 | 58.4 | 25 |